Starting from a structure optimized by DFT (GGA-PBE), the PXRD pattern of UAsPd6 was calculated for λ = 1.5418 Å (Cu Kα).

Atomic structure:
a = 5.593 Å, b = 5.593 Å, c = 5.619 Å
α = 108.76°, β = 108.76°, γ = 110.04°
Fractional coordinates of all 8 atoms:
U (0.000, 0.000, 0.000)
As (0.500, 0.500, 0.500)
Pd (0.248, 0.743, 0.249)
Pd (0.249, 0.249, 0.743)
Pd (0.257, 0.752, 0.751)
Pd (0.743, 0.248, 0.249)
Pd (0.751, 0.751, 0.257)
Pd (0.752, 0.257, 0.751)

Peak list (6 most intense, 2θ = 10–90°, sorted by position)
2θ = 33.41°, intensity 47
2θ = 33.75°, intensity 28
2θ = 39.32°, intensity 51
2θ = 39.56°, intensity 100
2θ = 43.64°, intensity 23
2θ = 43.82°, intensity 22